Record 1
Simulated powder X-ray diffraction pattern of NbPd2Se6 for Cu Kα (λ = 1.5418 Å), from a GGA-PBE-relaxed structure.
Lines closer than 0.1° are merged.

Main lines, sorted by position (2θ = 5–70°):
d/Å	2θ/deg	intensity
5.068	17.5	45
3.029	29.5	24
2.728	32.8	100
2.608	34.4	17
2.166	41.7	87
1.980	45.8	14
1.756	52.1	51
1.704	53.8	25
1.477	62.9	13
1.364	68.8	18

Atomic structure:
```
NbPd2Se6
1.0
3.0421 1.7563 6.1684
-3.0421 1.7563 6.1684
0.0000 -3.5127 6.1684
Nb Pd Se
1 2 6
Direct
0.0000 0.0000 0.0000
0.6621 0.6621 0.6621
0.8399 0.8399 0.8399
0.0934 0.7259 0.4326
0.2481 0.5599 0.9512
0.4326 0.0934 0.7259
0.5599 0.9512 0.2481
0.7259 0.4326 0.0934
0.9512 0.2481 0.5599
```



Record 2
Simulated powder X-ray diffraction pattern of NbSiPd for Cu Kα (λ = 1.5418 Å), from a GGA-PBE-relaxed structure.
Lines closer than 0.1° are merged.

Main lines, sorted by position (2θ = 5–70°):
d/Å	2θ/deg	intensity
3.247	27.5	11
2.995	29.8	18
2.463	36.5	100
2.340	38.5	40
2.333	38.6	22
2.085	43.4	15
2.079	43.5	24
1.986	45.7	10
1.890	48.1	23
1.399	66.9	13

Atomic structure:
```
NbSiPd
1.0
6.4926 0.0000 0.0000
0.0000 3.7805 0.0000
0.0000 0.0000 7.5011
Nb Si Pd
4 4 4
Direct
0.0273 0.2500 0.1636
0.4727 0.7500 0.6636
0.5273 0.2500 0.3364
0.9727 0.7500 0.8364
0.2311 0.7500 0.3697
0.2689 0.2500 0.8697
0.7311 0.7500 0.1303
0.7689 0.2500 0.6303
0.1486 0.2500 0.5626
0.3514 0.7500 0.0626
0.6486 0.2500 0.9374
0.8514 0.7500 0.4374
```



Record 3
Simulated powder X-ray diffraction pattern of SrNbPd3 for Cu Kα (λ = 1.5418 Å), from a GGA-PBE-relaxed structure.
Lines closer than 0.1° are merged.

Main lines, sorted by position (2θ = 5–70°):
d/Å	2θ/deg	intensity
4.967	17.9	32
3.512	25.4	11
2.868	31.2	78
2.483	36.2	100
2.221	40.6	15
2.028	44.7	5
1.756	52.1	69
1.656	55.5	7
1.498	62.0	32
1.434	65.1	23

Atomic structure:
```
SrNbPd3
1.0
4.9667 0.0000 0.0000
0.0000 4.9667 0.0000
0.0000 0.0000 4.9667
Sr Nb Pd
1 1 3
Direct
0.0000 0.0000 0.0000
0.5000 0.5000 0.5000
0.0000 0.5000 0.5000
0.5000 0.0000 0.5000
0.5000 0.5000 0.0000
```